[1]
Starting from DFT lattice parameters and positions (GGA+U), the X-ray powder pattern of Li2Ni2S3O12 was simulated for Cu Kα (weighted mean of Kα1 and Kα2).
Kinematic intensities with the Lorentz-polarization factor, no thermal factor.

Structure:
Unit cell a=7.753 b=7.753 c=8.747 alpha=111.55 beta=111.55 gamma=66.79
Positions (direct):
Li 0.138 0.327 0.055
Li 0.327 0.138 0.555
Li 0.673 0.862 0.445
Li 0.862 0.673 0.945
Ni 0.125 0.631 0.482
Ni 0.369 0.875 0.018
Ni 0.631 0.125 0.982
Ni 0.875 0.369 0.518
S 0.059 0.941 0.250
S 0.250 0.461 0.823
S 0.461 0.250 0.323
S 0.539 0.750 0.677
S 0.750 0.539 0.177
S 0.941 0.059 0.750
O 0.050 0.130 0.385
O 0.097 0.783 0.323
O 0.123 0.500 0.929
O 0.130 0.050 0.885
O 0.132 0.456 0.638
O 0.217 0.903 0.177
O 0.261 0.389 0.311
O 0.350 0.608 0.883
O 0.389 0.261 0.811
O 0.392 0.650 0.617
O 0.456 0.132 0.138
O 0.500 0.123 0.429
O 0.500 0.877 0.571
O 0.544 0.868 0.862
O 0.608 0.350 0.383
O 0.611 0.739 0.189
O 0.650 0.392 0.117
O 0.739 0.611 0.689
O 0.783 0.097 0.823
O 0.868 0.544 0.362
O 0.870 0.950 0.115
O 0.877 0.500 0.071
O 0.903 0.217 0.677
O 0.950 0.870 0.615

The 10 most intense peaks (10° ≤ 2θ ≤ 80°), in order of rising 2θ:
two_theta  d_spacing  I_rel
14.7  6.008  86
19.2  4.614  37
23.7  3.750  91
25.2  3.529  59
26.3  3.384  84
29.1  3.070  29
31.0  2.889  100
31.7  2.824  55
33.5  2.678  35
48.0  1.895  34

=====

[2]
Starting from DFT lattice parameters and positions (GGA+U), the X-ray powder pattern of LiNiSbO4 was simulated for Cu Kα (weighted mean of Kα1 and Kα2).
Kinematic intensities with the Lorentz-polarization factor, no thermal factor.

Structure:
Unit cell a=6.119 b=6.119 c=6.119 alpha=120.67 beta=118.99 gamma=90.30
Positions (direct):
Li 0.393 0.143 0.250
Li 0.607 0.857 0.750
Ni 0.000 0.000 0.500
Ni 0.000 0.500 0.000
Sb 0.000 0.500 0.500
Sb 0.500 0.500 0.000
O 0.207 0.727 0.480
O 0.248 0.272 0.524
O 0.248 0.724 0.976
O 0.252 0.273 0.980
O 0.748 0.727 0.020
O 0.752 0.276 0.024
O 0.752 0.728 0.476
O 0.793 0.273 0.520

The 10 most intense peaks (10° ≤ 2θ ≤ 80°), in order of rising 2θ:
two_theta  d_spacing  I_rel
17.6  5.042  28
17.9  4.958  100
34.1  2.632  37
34.5  2.598  26
35.6  2.521  16
36.2  2.479  15
41.7  2.168  41
41.9  2.158  20
55.3  1.661  13
60.5  1.529  25